1.
Structure and calculated powder diffraction line list of AlIn2 (a PBE-relaxed structure; Cu Kα X-rays).

Principal peaks in the range 2θ from 10° to 90°, sorted by position:
- 25.7 deg, rel. 66
- 27.6 deg, rel. 61
- 28.5 deg, rel. 100
- 33.1 deg, rel. 87
- 33.3 deg, rel. 91
- 38.3 deg, rel. 32
- 38.5 deg, rel. 66
- 39.0 deg, rel. 33
- 39.1 deg, rel. 39
- 41.7 deg, rel. 43

Cell and atoms:
Lattice parameters (Å, degrees): 3.340 6.277 7.697 112.06 101.03 94.54
Element x y z (fractional)
Al1 0.011 0.280 0.000
Al2 0.989 0.720 0.000
In1 0.333 0.339 0.669
In2 0.358 0.869 0.732
In3 0.642 0.131 0.268
In4 0.667 0.661 0.331

2.
Structure and calculated powder diffraction line list of Ac2TlZn7 (a PBE-relaxed structure; Cu Kα X-rays).

Principal peaks in the range 2θ from 10° to 90°, sorted by position:
- 21.2 deg, rel. 25
- 32.0 deg, rel. 50
- 32.4 deg, rel. 100
- 39.4 deg, rel. 56
- 47.3 deg, rel. 21
- 51.7 deg, rel. 28
- 57.0 deg, rel. 21
- 59.7 deg, rel. 13
- 63.2 deg, rel. 17
- 67.1 deg, rel. 25

Cell and atoms:
Lattice parameters (Å, degrees): 4.572 4.572 10.592 90.00 90.00 90.00
Element x y z (fractional)
Ac1 0.000 0.500 0.238
Ac2 0.500 0.000 0.762
Tl1 0.000 0.000 0.500
Zn1 0.000 0.000 0.000
Zn2 0.000 0.500 0.646
Zn3 0.000 0.500 0.882
Zn4 0.500 0.000 0.118
Zn5 0.500 0.000 0.354
Zn6 0.500 0.500 0.000
Zn7 0.500 0.500 0.500

3.
Structure and calculated powder diffraction line list of BaPa2RuN5 (a PBE-relaxed structure; Cu Kα X-rays).

Principal peaks in the range 2θ from 10° to 90°, sorted by position:
- 15.0 deg, rel. 24
- 30.2 deg, rel. 38
- 30.7 deg, rel. 100
- 30.8 deg, rel. 50
- 37.7 deg, rel. 44
- 38.0 deg, rel. 22
- 49.0 deg, rel. 21
- 49.3 deg, rel. 20
- 53.9 deg, rel. 21
- 57.2 deg, rel. 24

Cell and atoms:
Lattice parameters (Å, degrees): 7.584 7.584 7.584 127.56 127.56 77.35
Element x y z (fractional)
Ba1 0.250 0.250 0.000
Ba2 0.750 0.750 0.000
Pa1 0.186 0.686 0.872
Pa2 0.314 0.186 0.500
Pa3 0.686 0.814 0.500
Pa4 0.814 0.314 0.128
Ru1 0.250 0.750 0.500
Ru2 0.750 0.250 0.500
N1 0.000 0.000 0.000
N2 0.012 0.239 0.500
N3 0.239 0.739 0.226
N4 0.261 0.488 0.500
N5 0.488 0.988 0.226
N6 0.500 0.500 0.000
N7 0.512 0.012 0.774
N8 0.739 0.512 0.500
N9 0.761 0.261 0.774
N10 0.988 0.761 0.500

4.
Structure and calculated powder diffraction line list of CuPbO3 (a PBE-relaxed structure; Cu Kα X-rays).

Principal peaks in the range 2θ from 10° to 90°, sorted by position:
- 21.9 deg, rel. 66
- 27.8 deg, rel. 28
- 29.9 deg, rel. 100
- 31.5 deg, rel. 49
- 32.8 deg, rel. 40
- 34.3 deg, rel. 29
- 46.1 deg, rel. 26
- 47.3 deg, rel. 39
- 47.9 deg, rel. 21
- 55.7 deg, rel. 21

Cell and atoms:
Lattice parameters (Å, degrees): 6.688 6.688 5.225 90.00 90.00 147.00
Element x y z (fractional)
Cu1 0.070 0.930 0.500
Cu2 0.930 0.070 0.000
Pb1 0.350 0.650 0.573
Pb2 0.650 0.350 0.073
O1 0.081 0.919 0.906
O2 0.211 0.789 0.329
O3 0.433 0.567 0.949
O4 0.567 0.433 0.449
O5 0.789 0.211 0.829
O6 0.919 0.081 0.406

5.
Structure and calculated powder diffraction line list of La3Pr7Tl2 (a PBE-relaxed structure; Cu Kα X-rays).

Principal peaks in the range 2θ from 10° to 90°, sorted by position:
- 28.2 deg, rel. 27
- 29.6 deg, rel. 20
- 30.2 deg, rel. 100
- 30.5 deg, rel. 13
- 31.1 deg, rel. 14
- 32.2 deg, rel. 14
- 33.0 deg, rel. 18
- 33.6 deg, rel. 29
- 49.0 deg, rel. 14
- 53.0 deg, rel. 14

Cell and atoms:
Lattice parameters (Å, degrees): 5.939 3.719 19.044 90.00 93.77 90.00
Element x y z (fractional)
La1 0.000 0.000 0.000
La2 0.283 0.500 0.644
La3 0.717 0.500 0.356
Pr1 0.177 0.500 0.154
Pr2 0.241 0.000 0.466
Pr3 0.317 0.000 0.832
Pr4 0.500 0.500 0.000
Pr5 0.683 0.000 0.168
Pr6 0.759 0.000 0.534
Pr7 0.823 0.500 0.846
Tl1 0.205 0.000 0.298
Tl2 0.795 0.000 0.702